Computed X-ray diffraction stick pattern
Compound: Sr2GdBiO6
Radiation: Cu Kα, 1.54184 Å
Structure: a DFT-relaxed cell (GGA-PBE, the Materials Project)
Kinematic intensities with the Lorentz-polarization factor, no thermal factor.

Peak list (12 most intense, 2θ = 10–90°, in order of rising 2θ)
2theta  d [Å]  I/Imax
17.73  5.001  2.4
20.51  4.331  22.2
29.16  3.063  100.0
41.71  2.166  30.2
46.91  1.937  10.3
51.70  1.768  42.1
60.46  1.531  19.3
64.55  1.444  4.9
68.51  1.370  18.6
76.13  1.250  6.4
79.85  1.201  2.2
83.52  1.158  22.5

Structure:
a = 6.1253 Å, b = 6.1253 Å, c = 6.1253 Å
α = 60.00°, β = 60.00°, γ = 60.00°
Atoms (fractional coordinates):
Sr1 0.2500 0.2500 0.2500
Sr2 0.7500 0.7500 0.7500
Gd1 0.0000 0.0000 0.0000
Bi1 0.5000 0.5000 0.5000
O1 0.2568 0.2568 0.7432
O2 0.2568 0.7432 0.2568
O3 0.2568 0.7432 0.7432
O4 0.7432 0.2568 0.2568
O5 0.7432 0.2568 0.7432
O6 0.7432 0.7432 0.2568